Starting from a cell relaxed with PBE, the powder XRD pattern of Rb3Ag4S4 was simulated for Cu Kα (weighted mean of Kα1 and Kα2).

Structure:
Unit cell a=7.158 b=7.158 c=7.158 alpha=109.47 beta=109.47 gamma=109.47
Sites, in units of the cell vectors:
Rb1 0.000 0.500 0.500
Rb2 0.500 0.000 0.500
Rb3 0.500 0.500 0.000
Ag1 0.000 0.000 0.282
Ag2 0.000 0.282 0.000
Ag3 0.282 0.000 0.000
Ag4 0.718 0.718 0.718
S1 0.000 0.000 0.642
S2 0.000 0.642 0.000
S3 0.358 0.358 0.358
S4 0.642 0.000 0.000

Peak list (10 most intense, 10 to 90 degrees two-theta, by angle)
2θ (°)	I (rel.)
15.2	34.4
26.4	65.1
30.6	47.9
34.3	100.0
37.7	29.8
40.8	25.1
46.6	37.1
49.3	28.8
61.4	18.7
63.7	20.9